No. 1
The following is a computed X-ray diffraction stick pattern of BePtSe. It was derived from a PBE-relaxed structure, using λ = 1.5418 Å (Cu Kα).

Structure:
```
data_BePtSe
_chemical_formula_sum 'Be2 Pt2 Se2'
_cell_length_a 3.6745
_cell_length_b 3.7345
_cell_length_c 8.8991
_cell_angle_alpha 86.90
_cell_angle_beta 89.90
_cell_angle_gamma 60.55
_symmetry_space_group_name_H-M 'P 1'
_symmetry_Int_Tables_number 1
_symmetry_space_group_name_Hall 'P 1'
loop_
_atom_site_label
_atom_site_fract_x
_atom_site_fract_y
_atom_site_fract_z
Be1 0.0000 0.0000 0.0000
Be2 0.2738 0.4489 0.2700
Pt1 0.3156 0.3696 0.8713
Pt2 0.6796 0.6399 0.0782
Se1 0.6104 0.7754 0.3572
Se2 0.9685 0.0648 0.7184
```

Top 10 peaks for 10 to 90 degrees two-theta, sorted by position:
2θ = 29.40°, I = 95; 2θ = 29.89°, I = 100; 2θ = 34.05°, I = 95; 2θ = 35.23°, I = 28; 2θ = 39.94°, I = 31; 2θ = 40.91°, I = 42; 2θ = 42.22°, I = 55; 2θ = 48.84°, I = 51; 2θ = 49.62°, I = 30; 2θ = 50.75°, I = 46

No. 2
The following is a computed X-ray diffraction stick pattern of BePtSe. It was derived from a PBE-relaxed structure, using λ = 1.5418 Å (Cu Kα).

Structure:
```
data_BePtSe
_chemical_formula_sum 'Be2 Pt2 Se2'
_cell_length_a 3.6986
_cell_length_b 3.7553
_cell_length_c 8.5980
_cell_angle_alpha 90.77
_cell_angle_beta 91.41
_cell_angle_gamma 99.24
_symmetry_space_group_name_H-M 'P -1'
_symmetry_Int_Tables_number 2
_symmetry_space_group_name_Hall '-P 1'
loop_
_atom_site_label
_atom_site_fract_x
_atom_site_fract_y
_atom_site_fract_z
Be1 0.2266 0.1982 0.3479
Pt1 0.3986 0.2372 0.6036
Se1 0.2504 0.7220 0.7974
```

Top 10 peaks for 10 to 90 degrees two-theta, sorted by position:
2θ = 10.29°, I = 100; 2θ = 24.39°, I = 19; 2θ = 26.80°, I = 45; 2θ = 31.60°, I = 24; 2θ = 32.17°, I = 18; 2θ = 33.16°, I = 14; 2θ = 37.85°, I = 17; 2θ = 38.45°, I = 13; 2θ = 39.43°, I = 13; 2θ = 40.12°, I = 13

What is the formula in the first record? BePtSe